No. 1
Structure and simulated PXRD pattern of Al2H2S (a cell relaxed with PBE; CuKα).
Kinematic intensities with the Lorentz-polarization factor, no thermal factor.

Top 10 peaks for 10° ≤ 2θ ≤ 80°, in order of rising 2θ:
h k l, 2θ (°), intensity
1 0 1, 18.1, 100
1 1 2, 28.0, 44
1 0 3, 28.8, 24
2 0 2, 36.6, 42
2 1 1, 37.8, 38
1 0 5, 43.3, 21
2 1 3, 44.2, 34
2 2 4, 57.9, 24
2 0 6, 59.7, 19
3 2 1, 61.9, 13

Atomic structure:
Unit cell a=5.4504 b=5.4504 c=11.3115 alpha=90.00 beta=90.00 gamma=90.00
Space group I4_1md (No. 109)
One atom of each set of equivalent atoms:
Al 0.0000 0.2280 0.0000
H 0.0000 0.2977 0.1566
S 0.0000 0.0000 0.5979

---

No. 2
Structure and simulated PXRD pattern of Tb2CeTm (a cell relaxed with PBE; CuKα).
Kinematic intensities with the Lorentz-polarization factor, no thermal factor.

Top 10 peaks for 10° ≤ 2θ ≤ 80°, in order of rising 2θ:
h k l, 2θ (°), intensity
0 0 2, 29.3, 27
2 2 1, 31.5, 92
1 3 0, 32.0, 68
1 1 2, 32.5, 61
3 1 1, 33.6, 100
0 2 2, 35.9, 33
2 4 1, 48.1, 22
2 2 3, 53.3, 28
3 1 3, 54.8, 25
5 3 0, 58.0, 23

Atomic structure:
Unit cell a=9.4661 b=8.7692 c=6.0905 alpha=90.00 beta=90.00 gamma=90.00
Space group Cmcm (No. 63)
One atom of each set of equivalent atoms:
Tb 0.1852 0.1615 0.2500
Ce 0.0000 0.5000 0.0000
Tm 0.0000 0.1601 0.7500

---

No. 3
Structure and simulated PXRD pattern of Tb2Sm3In (a cell relaxed with PBE; CuKα).
Kinematic intensities with the Lorentz-polarization factor, no thermal factor.

Top 10 peaks for 10° ≤ 2θ ≤ 80°, in order of rising 2θ:
h k l, 2θ (°), intensity
1 3 1, 31.1, 100
0 6 0, 35.3, 18
2 0 0, 36.4, 16
0 0 2, 36.6, 16
2 6 0, 51.6, 12
0 6 2, 51.7, 12
1 9 1, 60.7, 14
3 3 1, 62.2, 14
1 3 3, 62.4, 14
2 6 2, 64.9, 12

Atomic structure:
Unit cell a=4.9359 b=15.2612 c=4.9167 alpha=90.00 beta=90.00 gamma=90.00
Space group Cmmm (No. 65)
One atom of each set of equivalent atoms:
Tb 0.0000 0.1619 0.0000
Sm 0.0000 0.0000 0.5000
Sm 0.0000 0.3324 0.5000
In 0.0000 0.5000 0.0000

---

No. 4
Structure and simulated PXRD pattern of K2BaBiS4 (a cell relaxed with PBE; CuKα).
Kinematic intensities with the Lorentz-polarization factor, no thermal factor.

Top 10 peaks for 10° ≤ 2θ ≤ 80°, in order of rising 2θ:
h k l, 2θ (°), intensity
0 1 1, 11.9, 89
1 0 1, 12.6, 18
0 2 2, 24.0, 44
2 1 1, 24.2, 25
2 0 2, 25.4, 37
0 0 4, 28.5, 50
2 2 0, 28.7, 100
0 4 0, 39.3, 19
2 2 4, 40.9, 71
0 4 4, 49.2, 22

Atomic structure:
Unit cell a=8.4609 b=9.1775 c=12.5439 alpha=90.00 beta=90.00 gamma=90.00
Space group Imma (No. 74)
One atom of each set of equivalent atoms:
K 0.0000 0.0000 0.0000
K 0.2500 0.2500 0.2500
Ba 0.0000 0.0000 0.5000
Bi 0.2500 0.2500 0.7500
S 0.0000 0.0381 0.7499
S 0.2468 0.2500 0.5258

---

No. 5
Structure and simulated PXRD pattern of Cs2YSBr6 (a cell relaxed with PBE; CuKα).
Kinematic intensities with the Lorentz-polarization factor, no thermal factor.

Top 10 peaks for 10° ≤ 2θ ≤ 80°, in order of rising 2θ:
h k l, 2θ (°), intensity
1 1 2, 21.1, 27
2 0 2, 26.6, 100
0 0 4, 27.3, 42
2 2 0, 32.5, 61
2 2 4, 42.9, 47
4 0 0, 46.6, 22
2 0 6, 47.8, 13
4 2 2, 54.5, 26
4 0 4, 54.9, 22
0 0 8, 56.3, 12

Atomic structure:
Unit cell a=7.7916 b=7.7916 c=13.0735 alpha=90.00 beta=90.00 gamma=90.00
Space group I4/mmm (No. 139)
One atom of each set of equivalent atoms:
Cs 0.0000 0.5000 0.2500
Y 0.0000 0.0000 0.0000
S 0.0000 0.0000 0.5000
Br 0.0000 0.0000 0.2127
Br 0.2447 0.2447 0.5000

---

No. 6
Structure and simulated PXRD pattern of InFe2I6Cl2 (a cell relaxed with PBE; CuKα).
Kinematic intensities with the Lorentz-polarization factor, no thermal factor.

Top 10 peaks for 10° ≤ 2θ ≤ 80°, in order of rising 2θ:
h k l, 2θ (°), intensity
1 0 1, 16.4, 33
0 0 2, 17.8, 19
1 1 1, 25.6, 100
0 0 3, 26.9, 17
2 -1 2, 30.0, 62
1 1 3, 36.3, 25
3 0 0, 42.2, 39
1 1 4, 43.8, 34
4 -2 1, 50.0, 16
3 0 3, 50.7, 16

Atomic structure:
Unit cell a=7.4234 b=7.4234 c=9.9570 alpha=90.00 beta=90.00 gamma=120.00
Space group P-3 (No. 147)
One atom of each set of equivalent atoms:
In 0.0000 0.0000 0.0000
Fe 0.3333 0.6667 0.7337
I 0.0047 0.6699 0.8187
Cl 0.3333 0.6667 0.5184